[1]
Calculated X-ray powder pattern of InGe2Pd4 for Cu Kα (weighted mean of Kα1 and Kα2), from the GGA-PBE geometry in Alexandria.
Peak positions follow from Bragg's law for the DFT cell and can differ from measured ones.

Top 10 peaks for 5 to 70 degrees two-theta, low angle first:
- 28.32°, I 24, (0 2 3)
- 35.49°, I 100, (1 3 1)
- 36.64°, I 68, (0 2 4)
- 38.66°, I 80, (1 3 2)
- 43.50°, I 35, (0 6 3)
- 45.30°, I 42, (1 5 2)
- 46.36°, I 25, (0 8 0)
- 49.64°, I 45, (1 5 3)
- 54.16°, I 24, (1 1 5)
- 61.58°, I 20, (2 0 0)

Crystal structure
Lattice parameters (Å, degrees): 3.0119 15.6678 10.3285 90.00 90.00 90.00
Space group Cmcm (No. 63)
Asymmetric unit:
In (0.0000, 0.1128, 0.2500) [4 per cell]
Ge (0.0000, 0.3701, 0.0552) [8 per cell]
Pd (0.0000, 0.0000, 0.0000) [4 per cell]
Pd (0.0000, 0.2569, 0.6184) [8 per cell]
Pd (0.0000, 0.4639, 0.2500) [4 per cell]

[2]
Calculated X-ray powder pattern of Pr3InGe2Pd9 for Cu Kα (weighted mean of Kα1 and Kα2), from the GGA-PBE geometry in Alexandria.
Peak positions follow from Bragg's law for the DFT cell and can differ from measured ones.

Top 10 peaks for 5 to 70 degrees two-theta, low angle first:
- 23.63°, I 55, (0 0 3)
- 29.63°, I 13, (1 0 3)
- 30.81°, I 10, (1 1 0)
- 34.75°, I 11, (1 1 2)
- 36.47°, I 14, (0 1 4)
- 36.63°, I 56, (0 2 1)
- 39.23°, I 100, (2 0 2)
- 48.47°, I 35, (0 2 4)
- 64.19°, I 24, (2 2 0)
- 69.42°, I 13, (2 2 3)

Crystal structure
Lattice parameters (Å, degrees): 5.8034 5.8034 11.3073 90.00 90.00 120.00
Space group P-3m1 (No. 164)
Asymmetric unit:
Pr (0.0000, 0.0000, 0.0000) [1 per cell]
Pr (0.3333, 0.6667, 0.6032) [2 per cell]
In (0.0000, 0.0000, 0.5000) [1 per cell]
Ge (0.3333, 0.6667, 0.1590) [2 per cell]
Pd (0.0000, 0.5000, 0.0000) [3 per cell]
Pd (0.1650, 0.3301, 0.3130) [6 per cell]

[3]
Calculated X-ray powder pattern of Pm4InGe for Cu Kα (weighted mean of Kα1 and Kα2), from the GGA-PBE geometry in Alexandria.
Peak positions follow from Bragg's law for the DFT cell and can differ from measured ones.

Top 10 peaks for 5 to 70 degrees two-theta, low angle first:
- 30.10°, I 39, (1 2 0)
- 30.45°, I 33, (1 1 2)
- 30.66°, I 90, (2 0 -1)
- 31.03°, I 81, (1 2 -1)
- 32.22°, I 79, (1 0 -3)
- 32.66°, I 88, (1 2 1)
- 33.18°, I 100, (0 2 2)
- 33.38°, I 32, (2 1 -1)
- 36.79°, I 38, (1 0 3)
- 54.09°, I 30, (3 2 0)

Crystal structure
Lattice parameters (Å, degrees): 5.9173 6.8947 8.8028 90.00 99.25 90.00
Space group P2_1/m (No. 11)
Asymmetric unit:
Pm (0.1531, 0.2500, 0.0485) [2 per cell]
Pm (0.1755, 0.7500, 0.3640) [2 per cell]
Pm (0.3442, 0.5128, 0.7425) [4 per cell]
In (0.2309, 0.2500, 0.4178) [2 per cell]
Ge (0.3447, 0.7500, 0.0413) [2 per cell]

[4]
Calculated X-ray powder pattern of Pm7InGe2 for Cu Kα (weighted mean of Kα1 and Kα2), from the GGA-PBE geometry in Alexandria.
Peak positions follow from Bragg's law for the DFT cell and can differ from measured ones.

Top 10 peaks for 5 to 70 degrees two-theta, low angle first:
- 24.10°, I 32, (0 1 2)
- 28.87°, I 32, (0 1 3)
- 34.16°, I 100, (1 1 0)
- 34.53°, I 79, (1 0 4)
- 45.31°, I 9, (2 0 3)
- 49.36°, I 29, (0 2 4)
- 57.94°, I 9, (1 2 3)
- 61.15°, I 18, (3 0 0)
- 61.39°, I 30, (2 1 4)
- 62.35°, I 14, (1 1 7)

Crystal structure
Lattice parameters (Å, degrees): 5.2500 5.2500 12.6597 90.00 90.00 120.00
Space group P3m1 (No. 156)
Asymmetric unit:
Pm (0.0000, 0.0000, 0.0000) [1 per cell]
Pm (0.0000, 0.0000, 0.2607) [1 per cell]
Pm (0.0000, 0.0000, 0.5390) [1 per cell]
Pm (0.3333, 0.6667, 0.1332) [1 per cell]
Pm (0.3333, 0.6667, 0.7004) [1 per cell]
Pm (0.6667, 0.3333, 0.3724) [1 per cell]
Pm (0.6667, 0.3333, 0.8550) [1 per cell]
In (0.3333, 0.6667, 0.4214) [1 per cell]
Ge (0.0000, 0.0000, 0.7697) [1 per cell]
Ge (0.6667, 0.3333, 0.1103) [1 per cell]

[5]
Calculated X-ray powder pattern of Pm2InGePt6 for Cu Kα (weighted mean of Kα1 and Kα2), from the GGA-PBE geometry in Alexandria.
Peak positions follow from Bragg's law for the DFT cell and can differ from measured ones.

Top 10 peaks for 5 to 70 degrees two-theta, low angle first:
- 10.64°, I 72, (0 0 1)
- 19.46°, I 47, (1 1 0)
- 21.37°, I 83, (0 0 2)
- 37.37°, I 81, (0 2 0)
- 37.49°, I 41, (2 2 2)
- 39.49°, I 100, (0 2 2)
- 39.58°, I 50, (2 0 2)
- 40.51°, I 32, (0 1 -3)
- 47.07°, I 32, (0 2 -2)
- 66.05°, I 44, (4 2 2)

Crystal structure
Lattice parameters (Å, degrees): 5.6558 5.6564 8.9122 71.82 71.93 60.06
Space group P-1 (No. 2)
Asymmetric unit:
Pm (0.2019, 0.2024, 0.3922) [2 per cell]
In (0.0000, 0.0000, 0.0000) [1 per cell]
Ge (0.5000, 0.5000, 0.5000) [1 per cell]
Pt (0.2356, 0.7443, 0.2736) [2 per cell]
Pt (0.2561, 0.2553, 0.7266) [2 per cell]
Pt (0.2563, 0.7640, 0.7264) [2 per cell]

[6]
Calculated X-ray powder pattern of PmInGeRh2 for Cu Kα (weighted mean of Kα1 and Kα2), from the GGA-PBE geometry in Alexandria.
Peak positions follow from Bragg's law for the DFT cell and can differ from measured ones.

Top 10 peaks for 5 to 70 degrees two-theta, low angle first:
- 13.87°, I 95, (0 0 1)
- 20.23°, I 16, (1 0 0)
- 32.07°, I 85, (1 1 1)
- 34.74°, I 30, (1 0 2)
- 40.54°, I 100, (1 1 2)
- 41.14°, I 67, (2 0 0)
- 43.62°, I 21, (2 0 1)
- 54.91°, I 16, (2 1 2)
- 59.59°, I 22, (2 2 0)
- 69.29°, I 18, (3 1 1)

Crystal structure
Lattice parameters (Å, degrees): 4.3885 4.3885 6.3868 90.00 90.00 90.00
Space group P4mm (No. 99)
Asymmetric unit:
Pm (0.0000, 0.0000, 0.0000) [1 per cell]
In (0.5000, 0.5000, 0.0992) [1 per cell]
Ge (0.0000, 0.0000, 0.5179) [1 per cell]
Rh (0.0000, 0.5000, 0.3468) [2 per cell]

[7]
Calculated X-ray powder pattern of Pm2InGe4Rh3 for Cu Kα (weighted mean of Kα1 and Kα2), from the GGA-PBE geometry in Alexandria.
Peak positions follow from Bragg's law for the DFT cell and can differ from measured ones.

Top 10 peaks for 5 to 70 degrees two-theta, low angle first:
- 29.42°, I 12, (1 1 0)
- 32.98°, I 51, (1 0 3)
- 34.10°, I 100, (1 1 2)
- 40.21°, I 9, (1 0 4)
- 42.09°, I 58, (2 0 0)
- 45.64°, I 15, (1 1 4)
- 48.16°, I 20, (1 0 5)
- 54.48°, I 24, (2 1 3)
- 61.04°, I 30, (2 2 0)
- 65.85°, I 15, (2 1 5)

Crystal structure
Lattice parameters (Å, degrees): 4.2932 4.2932 10.5214 90.00 90.00 90.00
Space group P-4m2 (No. 115)
Asymmetric unit:
Pm (0.0000, 0.5000, 0.2339) [2 per cell]
In (0.0000, 0.0000, 0.5000) [1 per cell]
Ge (0.0000, 0.0000, 0.0000) [1 per cell]
Ge (0.0000, 0.5000, 0.6545) [2 per cell]
Ge (0.5000, 0.5000, 0.0000) [1 per cell]
Rh (0.0000, 0.5000, 0.8833) [2 per cell]
Rh (0.5000, 0.5000, 0.5000) [1 per cell]

[8]
Calculated X-ray powder pattern of PrInGe for Cu Kα (weighted mean of Kα1 and Kα2), from the GGA-PBE geometry in Alexandria.
Peak positions follow from Bragg's law for the DFT cell and can differ from measured ones.

Top 10 peaks for 5 to 70 degrees two-theta, low angle first:
- 23.77°, I 50, (1 0 1)
- 31.32°, I 100, (1 0 7)
- 33.36°, I 87, (0 1 8)
- 41.47°, I 75, (1 1 0)
- 44.40°, I 16, (0 0 15)
- 52.87°, I 23, (0 2 7)
- 53.73°, I 8, (1 0 16)
- 54.23°, I 21, (2 0 8)
- 62.37°, I 33, (1 1 15)
- 69.33°, I 20, (2 1 7)

Crystal structure
Lattice parameters (Å, degrees): 4.3551 4.3551 30.6067 90.00 90.00 120.00
Space group R-3m (No. 166, hexagonal axes)
Asymmetric unit:
Pr (0.0000, 0.0000, 0.0668) [6 per cell]
In (0.0000, 0.0000, 0.1924) [6 per cell]
Ge (0.0000, 0.0000, 0.3403) [6 per cell]

[9]
Calculated X-ray powder pattern of Pu6InGe5 for Cu Kα (weighted mean of Kα1 and Kα2), from the GGA-PBE geometry in Alexandria.
Peak positions follow from Bragg's law for the DFT cell and can differ from measured ones.

Top 10 peaks for 5 to 70 degrees two-theta, low angle first:
- 20.97°, I 19, (0 2 0)
- 27.38°, I 21, (1 0 3)
- 34.74°, I 100, (1 2 3)
- 38.99°, I 19, (2 0 0)
- 39.22°, I 18, (0 0 6)
- 42.69°, I 14, (0 4 0)
- 56.50°, I 13, (2 0 6)
- 59.18°, I 10, (2 4 0)
- 67.90°, I 15, (3 2 3)
- 68.21°, I 13, (1 2 9)

Crystal structure
Lattice parameters (Å, degrees): 4.6201 8.4725 13.7825 90.00 90.00 90.00
Space group Immm (No. 71)
Asymmetric unit:
Pu (0.0000, 0.2334, 0.0000) [4 per cell]
Pu (0.0000, 0.2601, 0.3276) [8 per cell]
In (0.0000, 0.0000, 0.5000) [2 per cell]
Ge (0.0000, 0.0000, 0.1701) [4 per cell]
Ge (0.0000, 0.5000, 0.1572) [4 per cell]
Ge (0.0000, 0.5000, 0.5000) [2 per cell]

[10]
Calculated X-ray powder pattern of Pu3InGe2 for Cu Kα (weighted mean of Kα1 and Kα2), from the GGA-PBE geometry in Alexandria.
Peak positions follow from Bragg's law for the DFT cell and can differ from measured ones.

Top 10 peaks for 5 to 70 degrees two-theta, low angle first:
- 22.66°, I 39, (1 0 0)
- 29.71°, I 8, (0 0 3)
- 32.26°, I 83, (1 1 0)
- 37.69°, I 100, (1 0 3)
- 44.42°, I 12, (1 1 3)
- 46.27°, I 31, (2 0 0)
- 52.12°, I 9, (2 1 0)
- 55.96°, I 6, (2 0 3)
- 61.14°, I 50, (2 1 3)
- 67.51°, I 10, (2 2 0)

Crystal structure
Lattice parameters (Å, degrees): 3.9243 3.9243 9.0212 90.00 90.00 90.00
Space group P4/mmm (No. 123)
Asymmetric unit:
Pu (0.0000, 0.0000, 0.0000) [1 per cell]
Pu (0.0000, 0.0000, 0.3103) [2 per cell]
In (0.5000, 0.5000, 0.5000) [1 per cell]
Ge (0.5000, 0.5000, 0.1566) [2 per cell]

[11]
Calculated X-ray powder pattern of Pu2InGe2Rh5 for Cu Kα (weighted mean of Kα1 and Kα2), from the GGA-PBE geometry in Alexandria.
Peak positions follow from Bragg's law for the DFT cell and can differ from measured ones.

Top 10 peaks for 5 to 70 degrees two-theta, low angle first:
- 31.90°, I 49, (2 1 1)
- 35.65°, I 27, (2 2 1)
- 37.43°, I 62, (4 1 0)
- 37.96°, I 100, (3 1 1)
- 38.56°, I 22, (3 3 0)
- 40.74°, I 18, (4 2 0)
- 41.23°, I 30, (3 2 1)
- 50.34°, I 23, (0 0 2)
- 64.39°, I 26, (4 1 2)
- 65.62°, I 15, (5 4 1)

Crystal structure
Lattice parameters (Å, degrees): 9.9052 9.9052 3.6252 90.00 90.00 90.00
Space group P4/mbm (No. 127)
Asymmetric unit:
Pu (0.1749, 0.3251, 0.0000) [4 per cell]
In (0.0000, 0.0000, 0.0000) [2 per cell]
Ge (0.1234, 0.6234, 0.0000) [4 per cell]
Rh (0.0000, 0.5000, 0.5000) [2 per cell]
Rh (0.0680, 0.7886, 0.5000) [8 per cell]

[12]
Calculated X-ray powder pattern of Rb2In12Ge for Cu Kα (weighted mean of Kα1 and Kα2), from the GGA-PBE geometry in Alexandria.
Peak positions follow from Bragg's law for the DFT cell and can differ from measured ones.

Top 10 peaks for 5 to 70 degrees two-theta, low angle first:
- 26.43°, I 45, (1 1 4)
- 26.88°, I 100, (2 0 2)
- 31.73°, I 30, (2 1 3)
- 34.38°, I 27, (2 1 4)
- 34.57°, I 39, (1 1 6)
- 35.29°, I 32, (2 0 5)
- 35.63°, I 81, (2 2 0)
- 39.05°, I 82, (2 0 6)
- 44.91°, I 28, (0 0 9)
- 63.32°, I 24, (3 3 6)

Crystal structure
Lattice parameters (Å, degrees): 7.1271 7.1271 18.1559 90.00 90.00 90.00
Space group P4/nbm (No. 125, origin choice 2)
Asymmetric unit:
Rb (0.2500, 0.7500, 0.2481) [4 per cell]
In (0.0001, 0.9999, 0.0864) [8 per cell]
In (0.0850, 0.5850, 0.4333) [8 per cell]
In (0.2500, 0.2500, 0.1801) [4 per cell]
In (0.2500, 0.2500, 0.3466) [4 per cell]
Ge (0.2500, 0.7500, 0.0000) [2 per cell]